[1]
Structure and theoretical PXRD pattern of Re3Ag (DFT lattice parameters and positions (GGA-PBE); a wavelength of 1.5418 Å).
Neutral-atom scattering factors, no anomalous dispersion.

Principal peaks in the range 2θ from 10° to 90°, most intense first:
2θ/deg, d [Å], intensity
39.66, 2.272, 100
45.74, 1.983, 65
38.35, 2.347, 34
80.47, 1.193, 24
67.59, 1.386, 21
65.78, 1.420, 20
81.31, 1.183, 13
85.46, 1.136, 11

Structure:
```
data_Re3Ag
_chemical_formula_sum 'Re9 Ag3'
_space_group_name_H-M_alt 'P 1'
_space_group_IT_number 1
_cell_length_a 2.7722
_cell_length_b 2.7722
_cell_length_c 28.1645
_cell_angle_alpha 90.00
_cell_angle_beta 90.00
_cell_angle_gamma 120.00
loop_
_space_group_symop_operation_xyz
'x,y,z'
loop_
_atom_site_label
_atom_site_fract_x
_atom_site_fract_y
_atom_site_fract_z
Re1 0.0000 0.0000 0.0000
Re2 0.0000 0.0000 0.2550
Re3 0.0000 0.0000 0.7450
Re4 0.3333 0.6667 0.4117
Re5 0.3333 0.6667 0.6667
Re6 0.3333 0.6667 0.9217
Re7 0.6667 0.3333 0.0783
Re8 0.6667 0.3333 0.3333
Re9 0.6667 0.3333 0.5883
Ag1 0.0000 0.0000 0.5000
Ag2 0.3333 0.6667 0.1667
Ag3 0.6667 0.3333 0.8333
```


[2]
Structure and theoretical PXRD pattern of Nd2ThTe2As2 (DFT lattice parameters and positions (GGA-PBE); a wavelength of 1.5418 Å).
Neutral-atom scattering factors, no anomalous dispersion.

Principal peaks in the range 2θ from 10° to 90°, most intense first:
2θ/deg, d [Å], intensity
32.60, 2.747, 100
32.23, 2.777, 86
22.64, 3.927, 86
46.50, 1.953, 75
46.23, 1.964, 30
11.20, 7.902, 30
67.66, 1.385, 24
57.71, 1.597, 20

Structure:
```
data_Nd2ThTe2As2
_chemical_formula_sum 'Nd4 Th2 Te4 As4'
_space_group_name_H-M_alt 'P 1'
_space_group_IT_number 1
_cell_length_a 5.5538
_cell_length_b 5.5538
_cell_length_c 15.8037
_cell_angle_alpha 90.00
_cell_angle_beta 90.00
_cell_angle_gamma 90.00
loop_
_space_group_symop_operation_xyz
'x,y,z'
loop_
_atom_site_label
_atom_site_fract_x
_atom_site_fract_y
_atom_site_fract_z
Nd1 0.0000 0.0000 0.1135
Nd2 0.0000 0.0000 0.8865
Nd3 0.5000 0.5000 0.3865
Nd4 0.5000 0.5000 0.6135
Th1 0.0000 0.0000 0.5000
Th2 0.5000 0.5000 0.0000
Te1 0.0000 0.0000 0.3056
Te2 0.0000 0.0000 0.6944
Te3 0.5000 0.5000 0.1944
Te4 0.5000 0.5000 0.8056
As1 0.0000 0.5000 0.0000
As2 0.0000 0.5000 0.5000
As3 0.5000 0.0000 0.0000
As4 0.5000 0.0000 0.5000
```


[3]
Structure and theoretical PXRD pattern of Er4Tm3Th4 (DFT lattice parameters and positions (GGA-PBE); a wavelength of 1.5418 Å).
Neutral-atom scattering factors, no anomalous dispersion.

Principal peaks in the range 2θ from 10° to 90°, most intense first:
2θ/deg, d [Å], intensity
32.40, 2.763, 100
31.85, 2.810, 35
30.79, 2.904, 27
57.10, 1.613, 20
33.76, 2.655, 16
63.21, 1.471, 13
47.10, 1.930, 13
31.29, 2.858, 12

Structure:
```
data_Er4Tm3Th4
_chemical_formula_sum 'Er4 Tm3 Th4'
_space_group_name_H-M_alt 'P 1'
_space_group_IT_number 1
_cell_length_a 10.6188
_cell_length_b 6.5673
_cell_length_c 6.5673
_cell_angle_alpha 50.66
_cell_angle_beta 90.00
_cell_angle_gamma 90.00
loop_
_space_group_symop_operation_xyz
'x,y,z'
loop_
_atom_site_label
_atom_site_fract_x
_atom_site_fract_y
_atom_site_fract_z
Er1 0.0000 0.0000 0.0000
Er2 0.2043 0.4963 0.4963
Er3 0.5000 0.9545 0.9545
Er4 0.7957 0.4963 0.4963
Tm1 0.2138 0.8047 0.8047
Tm2 0.5000 0.6466 0.6466
Tm3 0.7862 0.8047 0.8047
Th1 0.0000 0.2781 0.2781
Th2 0.2916 0.1610 0.1610
Th3 0.5000 0.3446 0.3446
Th4 0.7084 0.1610 0.1610
```


[4]
Structure and theoretical PXRD pattern of La5Br3 (DFT lattice parameters and positions (GGA-PBE); a wavelength of 1.5418 Å).
Neutral-atom scattering factors, no anomalous dispersion.

Principal peaks in the range 2θ from 10° to 90°, most intense first:
2θ/deg, d [Å], intensity
32.75, 2.735, 100
31.08, 2.878, 29
32.32, 2.770, 26
56.36, 1.632, 21
45.45, 1.996, 20
57.91, 1.592, 19
68.64, 1.367, 11
58.73, 1.572, 9

Structure:
```
data_La5Br3
_chemical_formula_sum 'La10 Br6'
_space_group_name_H-M_alt 'P 1'
_space_group_IT_number 1
_cell_length_a 7.5083
_cell_length_b 11.0797
_cell_length_c 5.7552
_cell_angle_alpha 90.00
_cell_angle_beta 90.00
_cell_angle_gamma 90.00
loop_
_space_group_symop_operation_xyz
'x,y,z'
loop_
_atom_site_label
_atom_site_fract_x
_atom_site_fract_y
_atom_site_fract_z
La1 0.0000 0.0000 0.0000
La2 0.2471 0.0000 0.5000
La3 0.2500 0.2500 0.0000
La4 0.2500 0.7500 0.0000
La5 0.2529 0.5000 0.5000
La6 0.5000 0.5000 0.0000
La7 0.7471 0.5000 0.5000
La8 0.7500 0.2500 0.0000
La9 0.7500 0.7500 0.0000
La10 0.7529 0.0000 0.5000
Br1 0.0000 0.2636 0.5000
Br2 0.0000 0.5000 0.0000
Br3 0.0000 0.7364 0.5000
Br4 0.5000 0.0000 0.0000
Br5 0.5000 0.2364 0.5000
Br6 0.5000 0.7636 0.5000
```